Starting from DFT lattice parameters and positions (GGA-PBE), the PXRD pattern of Pm6SmCd was simulated for Cu Kα.

Cell and atoms:
```
Pm6SmCd
1.0
5.0127 0.0000 0.0000
0.0000 5.0127 0.0000
0.0000 0.0000 20.6202
Pm Sm Cd
12 2 2
direct
0.0000 0.0000 0.2477
0.0000 0.0000 0.7523
0.0000 0.5000 0.1217
0.0000 0.5000 0.3783
0.0000 0.5000 0.6217
0.0000 0.5000 0.8783
0.5000 0.0000 0.1217
0.5000 0.0000 0.3783
0.5000 0.0000 0.6217
0.5000 0.0000 0.8783
0.5000 0.5000 0.2523
0.5000 0.5000 0.7477
0.0000 0.0000 0.0000
0.5000 0.5000 0.5000
0.0000 0.0000 0.5000
0.5000 0.5000 0.0000
```

Largest 10 diffraction maxima, in order of rising 2θ, 2θ = 10–90°:
2θ = 30.61°, 2.921 Å, rel. 100, (1 1 4)
2θ = 34.81°, 2.578 Å, rel. 18, (0 0 8)
2θ = 35.83°, 2.506 Å, rel. 33, (2 0 0)
2θ = 50.81°, 1.797 Å, rel. 24, (2 0 8)
2θ = 51.57°, 1.772 Å, rel. 12, (2 2 0)
2θ = 59.81°, 1.546 Å, rel. 14, (1 1 12)
2θ = 61.17°, 1.515 Å, rel. 28, (3 1 4)
2θ = 63.73°, 1.460 Å, rel. 12, (2 2 8)
2θ = 82.85°, 1.165 Å, rel. 11, (3 1 12)
2θ = 84.04°, 1.152 Å, rel. 6, (3 3 4)